# 1
# CsGdO2
Simulated X-ray diffraction stick pattern, λ = 1.5418 Å (Cu Kα). Input: the PBE geometry in Alexandria.
Kinematic intensities with the Lorentz-polarization factor, no thermal factor.

Atomic structure:
a b c (Å): 3.615 3.615 13.784
angles (deg): 90.00 90.00 120.00
Element x y z (fractional)
Cs  0.333  0.667  0.250
Cs  0.667  0.333  0.750
Gd  0.000  0.000  0.000
Gd  0.000  0.000  0.500
O  0.333  0.667  0.583
O  0.333  0.667  0.917
O  0.667  0.333  0.083
O  0.667  0.333  0.417

Largest 6 diffraction maxima, low angle first, 10° ≤ 2θ ≤ 80°:
3.446 Å, 25.9 deg, I 43.9; 2.850 Å, 31.4 deg, I 100.0; 2.587 Å, 34.7 deg, I 34.3; 1.852 Å, 49.2 deg, I 35.1; 1.807 Å, 50.5 deg, I 28.9; 1.601 Å, 57.6 deg, I 29.2

# 2
# TbPm2Y12
Simulated X-ray diffraction stick pattern, λ = 1.5418 Å (Cu Kα). Input: the PBE geometry in Alexandria.
Kinematic intensities with the Lorentz-polarization factor, no thermal factor.

Atomic structure:
a b c (Å): 6.711 6.711 24.872
angles (deg): 90.00 90.00 116.28
Element x y z (fractional)
Tb  0.250  0.750  0.000
Tb  0.750  0.250  0.000
Pm  0.250  0.750  0.270
Pm  0.250  0.750  0.735
Pm  0.750  0.250  0.265
Pm  0.750  0.250  0.730
Y  0.000  0.000  0.077
Y  0.000  0.000  0.923
Y  0.000  0.500  0.127
Y  0.000  0.500  0.873
Y  0.011  0.511  0.585
Y  0.014  0.986  0.439
Y  0.250  0.250  0.199
Y  0.250  0.250  0.327
Y  0.250  0.250  0.673
Y  0.250  0.250  0.801
Y  0.486  0.514  0.439
Y  0.489  0.989  0.585
Y  0.500  0.000  0.127
Y  0.500  0.000  0.873
Y  0.500  0.500  0.077
Y  0.500  0.500  0.923
Y  0.511  0.011  0.415
Y  0.514  0.486  0.561
Y  0.750  0.750  0.199
Y  0.750  0.750  0.327
Y  0.750  0.750  0.673
Y  0.750  0.750  0.801
Y  0.986  0.014  0.561
Y  0.989  0.489  0.415

Largest 6 diffraction maxima, low angle first, 10° ≤ 2θ ≤ 80°:
3.078 Å, 29.0 deg, I 45.7; 3.015 Å, 29.6 deg, I 74.0; 2.924 Å, 30.6 deg, I 88.3; 2.850 Å, 31.4 deg, I 100.0; 2.729 Å, 32.8 deg, I 82.7; 2.708 Å, 33.1 deg, I 81.1

# 3
# Pu2In4Hg
Simulated X-ray diffraction stick pattern, λ = 1.5418 Å (Cu Kα). Input: the PBE geometry in Alexandria.
Kinematic intensities with the Lorentz-polarization factor, no thermal factor.

Atomic structure:
a b c (Å): 8.010 6.736 6.110
angles (deg): 76.98 55.02 48.01
Element x y z (fractional)
Pu  0.135  0.135  0.865
Pu  0.865  0.865  0.135
In  0.000  0.000  0.500
In  0.250  0.250  0.250
In  0.500  0.500  0.000
In  0.750  0.750  0.750
Hg  0.500  0.500  0.500

Largest 6 diffraction maxima, low angle first, 10° ≤ 2θ ≤ 80°:
3.191 Å, 28.0 deg, I 87.3; 2.649 Å, 33.8 deg, I 50.4; 2.640 Å, 34.0 deg, I 100.0; 2.613 Å, 34.3 deg, I 39.1; 2.429 Å, 37.0 deg, I 43.7; 1.306 Å, 72.4 deg, I 30.3

# 4
# PrZn2Pt6
Simulated X-ray diffraction stick pattern, λ = 1.5418 Å (Cu Kα). Input: the PBE geometry in Alexandria.
Kinematic intensities with the Lorentz-polarization factor, no thermal factor.

Atomic structure:
a b c (Å): 8.038 8.038 8.038
angles (deg): 60.00 60.00 60.00
Element x y z (fractional)
Pr  0.125  0.125  0.125
Pr  0.875  0.875  0.875
Zn  0.000  0.500  0.500
Zn  0.500  0.000  0.500
Zn  0.500  0.500  0.000
Zn  0.500  0.500  0.500
Pt  0.122  0.122  0.628
Pt  0.122  0.628  0.122
Pt  0.122  0.628  0.628
Pt  0.372  0.372  0.878
Pt  0.372  0.878  0.372
Pt  0.372  0.878  0.878
Pt  0.628  0.122  0.122
Pt  0.628  0.122  0.628
Pt  0.628  0.628  0.122
Pt  0.878  0.372  0.372
Pt  0.878  0.372  0.878
Pt  0.878  0.878  0.372

Largest 6 diffraction maxima, low angle first, 10° ≤ 2θ ≤ 80°:
4.019 Å, 22.1 deg, I 17.8; 2.842 Å, 31.5 deg, I 85.4; 2.009 Å, 45.1 deg, I 100.0; 1.641 Å, 56.1 deg, I 22.8; 1.421 Å, 65.7 deg, I 16.3; 1.271 Å, 74.7 deg, I 29.7

# 5
# Rb3CrCd2Cl9
Simulated X-ray diffraction stick pattern, λ = 1.5418 Å (Cu Kα). Input: the PBE geometry in Alexandria.
Kinematic intensities with the Lorentz-polarization factor, no thermal factor.

Atomic structure:
a b c (Å): 7.341 7.341 9.009
angles (deg): 90.00 90.00 120.00
Element x y z (fractional)
Rb  0.000  0.000  0.000
Rb  0.333  0.667  0.669
Rb  0.667  0.333  0.331
Cr  0.000  0.000  0.500
Cd  0.333  0.667  0.175
Cd  0.667  0.333  0.825
Cl  0.000  0.500  0.000
Cl  0.160  0.321  0.343
Cl  0.160  0.840  0.343
Cl  0.321  0.160  0.657
Cl  0.500  0.000  0.000
Cl  0.500  0.500  0.000
Cl  0.679  0.840  0.343
Cl  0.840  0.160  0.657
Cl  0.840  0.679  0.657

Largest 6 diffraction maxima, low angle first, 10° ≤ 2θ ≤ 80°:
3.673 Å, 24.2 deg, I 100.0; 2.999 Å, 29.8 deg, I 20.4; 2.597 Å, 34.5 deg, I 78.6; 2.121 Å, 42.6 deg, I 45.1; 1.836 Å, 49.6 deg, I 51.2; 1.643 Å, 56.0 deg, I 20.7

# 6
# MnAl2
Simulated X-ray diffraction stick pattern, λ = 1.5418 Å (Cu Kα). Input: the PBE geometry in Alexandria.
Kinematic intensities with the Lorentz-polarization factor, no thermal factor.

Atomic structure:
a b c (Å): 5.074 5.074 6.399
angles (deg): 102.24 102.24 31.66
Element x y z (fractional)
Mn  0.000  0.000  0.000
Mn  0.689  0.689  0.371
Al  0.279  0.279  0.087
Al  0.341  0.341  0.675
Al  0.616  0.616  0.746
Al  0.971  0.971  0.385

Largest 6 diffraction maxima, low angle first, 10° ≤ 2θ ≤ 80°:
2.393 Å, 37.6 deg, I 30.2; 2.133 Å, 42.4 deg, I 33.4; 2.087 Å, 43.4 deg, I 100.0; 2.081 Å, 43.5 deg, I 26.4; 2.077 Å, 43.6 deg, I 22.9; 1.592 Å, 57.9 deg, I 18.6

# 7
# Tm2CdPd6
Simulated X-ray diffraction stick pattern, λ = 1.5418 Å (Cu Kα). Input: the PBE geometry in Alexandria.
Kinematic intensities with the Lorentz-polarization factor, no thermal factor.

Atomic structure:
a b c (Å): 8.078 8.078 3.168
angles (deg): 90.00 90.00 125.00
Element x y z (fractional)
Tm  0.189  0.811  0.000
Tm  0.811  0.189  0.000
Cd  0.500  0.500  0.500
Pd  0.147  0.465  0.500
Pd  0.185  0.185  0.000
Pd  0.465  0.147  0.500
Pd  0.535  0.853  0.500
Pd  0.815  0.815  0.000
Pd  0.853  0.535  0.500

Largest 6 diffraction maxima, low angle first, 10° ≤ 2θ ≤ 80°:
2.858 Å, 31.3 deg, I 69.4; 2.388 Å, 37.7 deg, I 59.6; 2.288 Å, 39.4 deg, I 92.7; 2.206 Å, 40.9 deg, I 100.0; 2.044 Å, 44.3 deg, I 50.3; 1.287 Å, 73.6 deg, I 34.4

# 8
# PmPr4NdTm2
Simulated X-ray diffraction stick pattern, λ = 1.5418 Å (Cu Kα). Input: the PBE geometry in Alexandria.
Kinematic intensities with the Lorentz-polarization factor, no thermal factor.

Atomic structure:
a b c (Å): 5.163 5.196 10.202
angles (deg): 90.00 90.06 90.00
Element x y z (fractional)
Pm  0.000  0.000  0.000
Pr  0.000  0.500  0.249
Pr  0.000  0.500  0.751
Pr  0.500  0.000  0.250
Pr  0.500  0.000  0.750
Nd  0.500  0.500  0.500
Tm  0.000  0.000  0.500
Tm  0.500  0.500  0.000

Largest 6 diffraction maxima, low angle first, 10° ≤ 2θ ≤ 80°:
2.975 Å, 30.0 deg, I 100.0; 2.598 Å, 34.5 deg, I 17.3; 2.582 Å, 34.7 deg, I 17.0; 2.551 Å, 35.2 deg, I 16.4; 1.563 Å, 59.1 deg, I 14.7; 1.556 Å, 59.4 deg, I 14.5